TbWBrO4: theoretical X-ray diffraction stick pattern (λ = 1.5418 Å (Cu Kα)), based on a DFT-relaxed cell (GGA+U, Alexandria).
Intensities are scaled so that the largest is 1000.

Main lines, by angle (2θ = 15–90°):
(0 2 1), 2θ 24.30, intensity 1000
(1 0 3), 2θ 25.60, intensity 489
(2 0 2), 2θ 26.99, intensity 380
(2 1 1), 2θ 27.21, intensity 231
(2 -1 0), 2θ 29.40, intensity 362
(1 1 -2), 2θ 30.02, intensity 317
(-1 1 3), 2θ 32.85, intensity 241
(1 -2 2), 2θ 34.83, intensity 172
(2 2 3), 2θ 35.74, intensity 201
(0 4 2), 2θ 49.78, intensity 184

Atomic structure:
```
TbWBrO4
1.0
7.082 0.000 0.000
0.632 7.359 0.000
3.496 2.711 10.157
Tb W Br O
4 4 4 16
Direct
0.063 0.098 0.271 Tb
0.393 0.664 0.234 Tb
0.607 0.336 0.766 Tb
0.937 0.902 0.729 Tb
0.136 0.418 0.624 W
0.409 0.817 0.867 W
0.591 0.183 0.133 W
0.864 0.582 0.376 W
0.209 0.271 0.987 Br
0.252 0.028 0.482 Br
0.748 0.972 0.518 Br
0.791 0.729 0.013 Br
0.031 0.611 0.695 O
0.050 0.777 0.294 O
0.208 0.888 0.798 O
0.211 0.504 0.445 O
0.309 0.741 0.043 O
0.360 0.352 0.668 O
0.406 0.990 0.193 O
0.458 0.375 0.197 O
0.542 0.625 0.803 O
0.594 0.010 0.807 O
0.640 0.648 0.332 O
0.691 0.259 0.957 O
0.789 0.496 0.555 O
0.792 0.112 0.202 O
0.950 0.223 0.706 O
0.969 0.389 0.305 O
```